[1]
# Ti6Sb2C
Calculated PXRD pattern, Cu Kα. Input: a GGA-PBE-relaxed structure.
No peak broadening, texture or thermal motion is included.

```
data_Ti6Sb2C
_chemical_formula_sum 'Ti12 Sb4 C2'
_space_group_name_H-M_alt 'I 4/m m m'
_space_group_IT_number 139
_space_group_name_Hall '-I 4 2'
_cell_length_a 5.888
_cell_length_b 5.888
_cell_length_c 8.471
_cell_angle_alpha 90.00
_cell_angle_beta 90.00
_cell_angle_gamma 90.00
loop_
_atom_site_label
_atom_site_type_symbol
_atom_site_fract_x
_atom_site_fract_y
_atom_site_fract_z
_atom_site_occupancy
Ti1 Ti 0.000 0.000 0.247 1
Ti2 Ti 0.244 0.244 0.000 1
Sb1 Sb 0.000 0.500 0.250 1
C1 C 0.000 0.000 0.500 1
```

Principal peaks in the range 15 to 90 degrees two-theta, in order of falling intensity:
hkl 2 0 2, 2θ 37.19, I 100
hkl 2 2 0, 2θ 43.47, I 34
hkl 4 2 2, 2θ 75.64, I 22
hkl 2 2 4, 2θ 62.57, I 21
hkl 0 0 4, 2θ 42.70, I 18
hkl 1 1 2, 2θ 30.10, I 17
hkl 1 1 0, 2θ 21.34, I 14
hkl 2 0 6, 2θ 74.54, I 12
hkl 4 0 4, 2θ 79.26, I 10
hkl 4 0 0, 2θ 63.17, I 10

=====

[2]
# Sm2MgSb4
Calculated PXRD pattern, Cu Kα. Input: a GGA-PBE-relaxed structure.
No peak broadening, texture or thermal motion is included.

```
data_Sm2MgSb4
_chemical_formula_sum 'Sm2 Mg1 Sb4'
_space_group_name_H-M_alt 'P -4 m 2'
_space_group_IT_number 115
_cell_length_a 4.282
_cell_length_b 4.282
_cell_length_c 11.218
_cell_angle_alpha 90.00
_cell_angle_beta 90.00
_cell_angle_gamma 90.00
loop_
_space_group_symop_operation_xyz
'x,y,z'
'y,-x,-z'
'-x,-y,z'
'-y,x,-z'
'-x,y,z'
'-y,-x,-z'
'x,-y,z'
'y,x,-z'
loop_
_atom_site_label
_atom_site_type_symbol
_atom_site_fract_x
_atom_site_fract_y
_atom_site_fract_z
_atom_site_occupancy
Sm1 Sm 0.000 0.500 0.227 1
Mg1 Mg 0.000 0.000 0.500 1
Sb1 Sb 0.000 0.000 0.000 1
Sb2 Sb 0.000 0.500 0.671 1
Sb3 Sb 0.500 0.500 0.000 1
```

Principal peaks in the range 15 to 90 degrees two-theta, in order of falling intensity:
hkl 1 1 2, 2θ 33.64, I 100
hkl 2 0 0, 2θ 42.21, I 37
hkl 1 0 2, 2θ 26.18, I 33
hkl 1 1 1, 2θ 30.58, I 23
hkl 3 1 2, 2θ 71.71, I 22
hkl 1 0 4, 2θ 38.37, I 22
hkl 2 0 4, 2θ 53.84, I 17
hkl 1 0 5, 2θ 45.65, I 16
hkl 1 0 3, 2θ 31.77, I 16
hkl 0 0 3, 2θ 23.80, I 14

=====

[3]
# Hf2TaGa3
Calculated PXRD pattern, Cu Kα. Input: a GGA-PBE-relaxed structure.
No peak broadening, texture or thermal motion is included.

```
data_Hf2TaGa3
_chemical_formula_sum 'Hf8 Ta4 Ga12'
_space_group_name_H-M_alt 'C 1 2/c 1'
_space_group_IT_number 15
_cell_length_a 14.249
_cell_length_b 5.386
_cell_length_c 6.073
_cell_angle_alpha 90.00
_cell_angle_beta 102.27
_cell_angle_gamma 90.00
loop_
_space_group_symop_operation_xyz
'x,y,z'
'-x,-y,-z'
'-x,y,-z+1/2'
'x,-y,z+1/2'
'x+1/2,y+1/2,z'
'-x+1/2,-y+1/2,-z'
'-x+1/2,y+1/2,-z+1/2'
'x+1/2,-y+1/2,z+1/2'
loop_
_atom_site_label
_atom_site_type_symbol
_atom_site_fract_x
_atom_site_fract_y
_atom_site_fract_z
_atom_site_occupancy
Hf1 Hf 0.167 0.002 0.083 1
Ta1 Ta 0.000 0.499 0.750 1
Ga1 Ga 0.000 0.001 0.250 1
Ga2 Ga 0.164 0.498 0.582 1
```

Principal peaks in the range 15 to 90 degrees two-theta, in order of falling intensity:
hkl 2 0 2, 2θ 35.32, I 100
hkl 2 2 2, 2θ 49.31, I 78
hkl 0 2 0, 2θ 33.27, I 59
hkl 3 1 0, 2θ 25.33, I 39
hkl 6 0 0, 2θ 38.81, I 39
hkl 6 2 0, 2θ 52.02, I 33
hkl 8 2 2, 2θ 77.85, I 20
hkl 1 1 -2, 2θ 33.89, I 19
hkl 2 4 2, 2θ 80.77, I 18
hkl 4 2 4, 2θ 84.27, I 17

=====

[4]
# Cs2SrSbBr6
Calculated PXRD pattern, Cu Kα. Input: a GGA-PBE-relaxed structure.
No peak broadening, texture or thermal motion is included.

```
data_Cs2SrSbBr6
_chemical_formula_sum 'Cs4 Sr2 Sb2 Br12'
_space_group_name_H-M_alt 'I 4/m m m'
_space_group_IT_number 139
_space_group_name_Hall '-I 4 2'
_cell_length_a 8.252
_cell_length_b 8.252
_cell_length_c 13.042
_cell_angle_alpha 90.00
_cell_angle_beta 90.00
_cell_angle_gamma 90.00
loop_
_atom_site_label
_atom_site_type_symbol
_atom_site_fract_x
_atom_site_fract_y
_atom_site_fract_z
_atom_site_occupancy
Cs1 Cs 0.000 0.500 0.250 1
Sr1 Sr 0.000 0.000 0.000 1
Sb1 Sb 0.000 0.000 0.500 1
Br1 Br 0.000 0.000 0.229 1
Br2 Br 0.241 0.241 0.500 1
```

Principal peaks in the range 15 to 90 degrees two-theta, in order of falling intensity:
hkl 2 0 2, 2θ 25.55, I 100
hkl 2 2 0, 2θ 30.64, I 99
hkl 2 2 4, 2θ 41.53, I 82
hkl 0 0 4, 2θ 27.35, I 64
hkl 1 1 2, 2θ 20.42, I 57
hkl 4 0 4, 2θ 52.49, I 41
hkl 4 0 0, 2θ 43.88, I 36
hkl 4 2 2, 2θ 51.47, I 27
hkl 2 0 0, 2θ 21.54, I 24
hkl 3 1 2, 2θ 37.11, I 24

=====

[5]
# K2Nb3O8F
Calculated PXRD pattern, Cu Kα. Input: a GGA-PBE-relaxed structure.
No peak broadening, texture or thermal motion is included.

```
data_K2Nb3O8F
_chemical_formula_sum 'K6 Nb9 O24 F3'
_space_group_name_H-M_alt 'R 3 m'
_space_group_IT_number 160
_space_group_name_Hall 'R 3 -2"'
_cell_length_a 6.1960
_cell_length_b 6.1960
_cell_length_c 21.6375
_cell_angle_alpha 90.00
_cell_angle_beta 90.00
_cell_angle_gamma 120.00
loop_
_atom_site_label
_atom_site_type_symbol
_atom_site_fract_x
_atom_site_fract_y
_atom_site_fract_z
_atom_site_occupancy
K1 K 0.0000 0.0000 0.0000 1
K2 K 0.0000 0.0000 0.3694 1
Nb1 Nb 0.1680 0.3359 0.1978 1
O1 O 0.0000 0.0000 0.1459 1
O2 O 0.0000 0.0000 0.5812 1
O3 O 0.0351 0.5176 0.1506 1
O4 O 0.1838 0.3676 0.9128 1
F1 F 0.0000 0.0000 0.6980 1
```

Principal peaks in the range 15 to 90 degrees two-theta, in order of falling intensity:
hkl 0 2 4, 2θ 37.42, I 100
hkl 1 1 3, 2θ 31.43, I 89
hkl 0 0 6, 2θ 24.69, I 83
hkl 0 2 7, 2θ 44.73, I 77
hkl 1 0 1, 2θ 17.02, I 74
hkl 0 2 1, 2θ 33.66, I 65
hkl 2 2 0, 2θ 59.69, I 42
hkl 2 0 8, 2θ 47.75, I 40
hkl 2 0 2, 2θ 34.44, I 36
hkl 0 1 5, 2θ 26.46, I 36

=====

[6]
# Ce4SbOs2
Calculated PXRD pattern, Cu Kα. Input: a GGA-PBE-relaxed structure.
No peak broadening, texture or thermal motion is included.

```
data_Ce4SbOs2
_chemical_formula_sum 'Ce8 Sb2 Os4'
_space_group_name_H-M_alt 'P 1'
_space_group_IT_number 1
_cell_length_a 6.941
_cell_length_b 7.052
_cell_length_c 8.583
_cell_angle_alpha 107.92
_cell_angle_beta 107.42
_cell_angle_gamma 104.79
loop_
_space_group_symop_operation_xyz
'x,y,z'
loop_
_atom_site_label
_atom_site_type_symbol
_atom_site_fract_x
_atom_site_fract_y
_atom_site_fract_z
_atom_site_occupancy
Ce1 Ce 0.000 0.000 0.000 1
Ce2 Ce 0.048 0.737 0.602 1
Ce3 Ce 0.318 0.165 0.471 1
Ce4 Ce 0.380 0.571 0.268 1
Ce5 Ce 0.471 0.618 0.868 1
Ce6 Ce 0.539 0.185 0.003 1
Ce7 Ce 0.782 0.129 0.400 1
Ce8 Ce 0.935 0.435 0.870 1
Sb1 Sb 0.595 0.922 0.657 1
Sb2 Sb 0.874 0.700 0.213 1
Os1 Os 0.005 0.361 0.259 1
Os2 Os 0.169 0.205 0.772 1
Os3 Os 0.332 0.869 0.100 1
Os4 Os 0.681 0.538 0.612 1
```

Principal peaks in the range 15 to 90 degrees two-theta, in order of falling intensity:
hkl -1 2 1, 2θ 31.84, I 100
hkl 0 1 -3, 2θ 32.82, I 88
hkl 2 0 -3, 2θ 36.03, I 78
hkl -1 1 2, 2θ 28.87, I 63
hkl 1 2 -2, 2θ 32.92, I 58
hkl -2 1 2, 2θ 32.10, I 55
hkl 2 -2 1, 2θ 34.54, I 53
hkl 2 1 -1, 2θ 33.18, I 53
hkl 1 -3 2, 2θ 40.38, I 46
hkl 0 1 -4, 2θ 44.65, I 43